The following is a theoretical powder XRD pattern of Si23C3. It was derived from a PBE-relaxed structure, using Cu Kα (λ = 1.5418 Å).
Peak positions follow from Bragg's law for the DFT cell and can differ from measured ones.

Structure:
```
Si23C3
1.0
10.1622 0.0000 0.0000
0.0000 10.1622 0.0000
0.0000 0.0000 10.1622
Si C
46 6
direct
0.0000 0.1162 0.3100
0.0000 0.1162 0.6900
0.0000 0.2500 0.5000
0.0000 0.7500 0.5000
0.0000 0.8838 0.3100
0.0000 0.8838 0.6900
0.1162 0.3100 0.0000
0.1162 0.6900 0.0000
0.1835 0.1835 0.1835
0.1835 0.1835 0.8165
0.1835 0.8165 0.1835
0.1835 0.8165 0.8165
0.1900 0.3838 0.5000
0.1900 0.6162 0.5000
0.2500 0.5000 0.0000
0.3100 0.0000 0.1162
0.3100 0.0000 0.8838
0.3165 0.3165 0.3165
0.3165 0.3165 0.6835
0.3165 0.6835 0.3165
0.3165 0.6835 0.6835
0.3838 0.5000 0.1900
0.3838 0.5000 0.8100
0.5000 0.0000 0.2500
0.5000 0.0000 0.7500
0.5000 0.1900 0.3838
0.5000 0.1900 0.6162
0.5000 0.8100 0.3838
0.5000 0.8100 0.6162
0.6162 0.5000 0.1900
0.6162 0.5000 0.8100
0.6835 0.3165 0.3165
0.6835 0.3165 0.6835
0.6835 0.6835 0.3165
0.6835 0.6835 0.6835
0.6900 0.0000 0.1162
0.6900 0.0000 0.8838
0.7500 0.5000 0.0000
0.8100 0.3838 0.5000
0.8100 0.6162 0.5000
0.8165 0.1835 0.1835
0.8165 0.1835 0.8165
0.8165 0.8165 0.1835
0.8165 0.8165 0.8165
0.8838 0.3100 0.0000
0.8838 0.6900 0.0000
0.0000 0.5000 0.2500
0.0000 0.5000 0.7500
0.2500 0.0000 0.5000
0.5000 0.2500 0.0000
0.5000 0.7500 0.0000
0.7500 0.0000 0.5000
```

Principal peaks in the range 5 to 70 degrees two-theta, low angle first:
2θ (°)  d/Å  Rel. int.
19.53  4.545  60.1
21.42  4.149  53.7
30.47  2.934  45.8
32.98  2.716  100.0
52.51  1.743  90.5
55.76  1.649  48.2